No. 1
Simulated powder diffraction line list of Lu2CuIr for Cu Kα, 1.54184 Å, from a structure optimized by DFT (GGA-PBE).
Neutral-atom scattering factors, no anomalous dispersion.

Cell and atoms:
```
Lu2CuIr
1.0
0.000 3.367 3.367
3.367 0.000 3.367
3.367 3.367 0.000
Lu Cu Ir
2 1 1
Direct
0.250 0.250 0.250
0.750 0.750 0.750
0.000 0.000 0.000
0.500 0.500 0.500
```

Top 6 peaks for 10 to 90 degrees two-theta, in order of rising 2θ:
d_spacing  intensity
3.888  9
2.381  100
2.030  5
1.683  17
1.374  35
1.190  11

---

No. 2
Simulated powder diffraction line list of KHI2F12 for Cu Kα, 1.54184 Å, from a structure optimized by DFT (GGA-PBE).
Neutral-atom scattering factors, no anomalous dispersion.

Cell and atoms:
```
KHI2F12
1.0
-4.965 4.965 5.349
4.965 -4.965 5.349
4.965 4.965 -5.349
K H I F
2 2 4 24
Direct
0.250 0.250 0.000
0.750 0.750 0.000
0.250 0.750 0.500
0.750 0.250 0.500
0.160 0.660 0.819
0.340 0.160 0.500
0.660 0.840 0.500
0.840 0.340 0.181
0.041 0.345 0.136
0.094 0.959 0.304
0.141 0.641 0.500
0.155 0.459 0.864
0.207 0.293 0.500
0.210 0.906 0.864
0.290 0.155 0.696
0.293 0.793 0.087
0.345 0.210 0.304
0.359 0.859 0.500
0.406 0.710 0.864
0.459 0.594 0.304
0.541 0.406 0.696
0.594 0.290 0.136
0.641 0.141 0.500
0.655 0.790 0.696
0.707 0.207 0.913
0.710 0.845 0.304
0.790 0.094 0.136
0.793 0.707 0.500
0.845 0.541 0.136
0.859 0.359 0.500
0.906 0.041 0.696
0.959 0.655 0.864
```

Top 6 peaks for 10 to 90 degrees two-theta, in order of rising 2θ:
d_spacing  intensity
5.349  30
4.102  100
3.639  31
2.780  15
2.144  17
2.036  20

---

No. 3
Simulated powder diffraction line list of MnFe3 for Cu Kα, 1.54184 Å, from a structure optimized by DFT (GGA-PBE).
Neutral-atom scattering factors, no anomalous dispersion.

Cell and atoms:
```
MnFe3
1.0
2.828 0.000 0.000
0.000 2.828 0.000
0.000 0.000 5.694
Mn Fe
1 3
Direct
0.000 0.000 0.000
0.000 0.000 0.500
0.500 0.500 0.247
0.500 0.500 0.753
```

Top 6 peaks for 10 to 90 degrees two-theta, in order of rising 2θ:
d_spacing  intensity
2.006  100
1.999  49
1.423  7
1.414  14
1.160  14
1.156  28